No. 1
The following is a simulated X-ray powder pattern of NaLi4Ca3. It was derived from DFT lattice parameters and positions (GGA-PBE), using Cu Kα.

Top 10 peaks for 2θ from 10° to 90°, in order of rising 2θ:
d 3.993, intensity 38
d 3.922, intensity 73
d 2.798, intensity 100
d 2.773, intensity 49
d 2.278, intensity 32
d 1.961, intensity 17
d 1.779, intensity 14
d 1.760, intensity 14
d 1.620, intensity 17
d 1.606, intensity 33

Structure:
```
NaLi4Ca3
1.0
3.922 0.000 0.000
0.000 3.922 0.000
0.000 0.000 15.970
Na Li Ca
1 4 3
Cartesian
0.000 0.000 0.000
1.961 1.961 1.835
1.961 1.961 5.960
1.961 1.961 10.010
1.961 1.961 14.135
0.000 0.000 3.965
0.000 0.000 7.985
0.000 0.000 12.006
```

No. 2
The following is a simulated X-ray powder pattern of Nb2HgB. It was derived from DFT lattice parameters and positions (GGA-PBE), using Cu Kα.

Top 10 peaks for 2θ from 10° to 90°, in order of rising 2θ:
d 7.384, intensity 20
d 2.794, intensity 10
d 2.613, intensity 100
d 2.461, intensity 27
d 2.228, intensity 71
d 1.613, intensity 23
d 1.540, intensity 21
d 1.373, intensity 14
d 1.349, intensity 24
d 1.306, intensity 25

Structure:
```
Nb2HgB
1.0
3.226 0.000 0.000
-1.613 2.794 0.000
0.000 0.000 7.384
Nb Hg B
2 1 1
Cartesian
0.000 1.863 1.252
1.613 0.931 6.132
0.000 0.000 3.692
0.000 0.000 0.000
```

No. 3
The following is a simulated X-ray powder pattern of Cs3Na3Hg2. It was derived from DFT lattice parameters and positions (GGA-PBE), using Cu Kα.

Top 10 peaks for 2θ from 10° to 90°, in order of rising 2θ:
d 7.183, intensity 35
d 5.213, intensity 49
d 4.116, intensity 60
d 3.649, intensity 66
d 3.547, intensity 100
d 3.231, intensity 27
d 3.196, intensity 94
d 2.959, intensity 48
d 2.732, intensity 49
d 2.295, intensity 66

Structure:
```
Cs3Na3Hg2
1.0
2.733 -7.183 0.000
2.733 7.183 0.000
0.000 0.000 20.853
Cs Na Hg
6 6 4
Cartesian
2.733 6.437 12.650
2.733 6.437 18.629
2.733 2.169 15.640
2.733 -2.169 5.213
2.733 -6.437 2.224
2.733 -6.437 8.202
2.733 2.575 11.140
2.733 2.575 20.139
2.733 2.178 5.213
2.733 -2.178 15.640
2.733 -2.575 0.714
2.733 -2.575 9.713
2.733 3.884 2.385
2.733 3.884 8.041
2.733 -3.884 12.811
2.733 -3.884 18.468
```

No. 4
The following is a simulated X-ray powder pattern of Rb2CuSiO4. It was derived from DFT lattice parameters and positions (GGA-PBE), using Cu Kα.

Top 10 peaks for 2θ from 10° to 90°, in order of rising 2θ:
d 4.551, intensity 36
d 3.842, intensity 42
d 3.088, intensity 31
d 2.972, intensity 43
d 2.938, intensity 100
d 2.836, intensity 42
d 2.475, intensity 43
d 2.335, intensity 44
d 2.030, intensity 42
d 1.676, intensity 36

Structure:
```
Rb2CuSiO4
1.0
0.000 5.944 10.139
2.539 0.000 10.139
2.539 5.944 0.000
Rb Cu Si O
4 2 2 8
Cartesian
1.904 4.458 0.994
3.174 7.430 6.064
1.904 4.458 14.214
3.174 7.430 19.284
0.635 1.486 2.535
4.444 10.403 17.743
1.904 4.458 7.604
3.174 7.430 12.674
2.943 3.489 6.743
2.943 5.427 8.465
4.213 6.462 13.534
4.213 8.399 11.813
0.866 3.489 8.465
0.866 5.427 6.743
2.135 6.462 11.813
2.135 8.399 13.534
```

No. 5
The following is a simulated X-ray powder pattern of MgPaAu. It was derived from DFT lattice parameters and positions (GGA-PBE), using Cu Kα.

Top 10 peaks for 2θ from 10° to 90°, in order of rising 2θ:
d 3.899, intensity 92
d 3.377, intensity 2
d 2.388, intensity 100
d 2.036, intensity 50
d 1.688, intensity 18
d 1.549, intensity 21
d 1.378, intensity 36
d 1.300, intensity 16
d 1.194, intensity 12
d 1.141, intensity 17

Structure:
```
MgPaAu
1.0
6.753 0.000 0.000
0.000 6.753 0.000
0.000 0.000 6.753
Mg Pa Au
4 4 4
Cartesian
0.000 0.000 0.000
0.000 3.377 3.377
3.377 0.000 3.377
3.377 3.377 0.000
0.000 0.000 3.377
0.000 3.377 0.000
3.377 0.000 0.000
3.377 3.377 3.377
1.688 1.688 5.065
1.688 5.065 1.688
5.065 1.688 1.688
5.065 5.065 5.065
```

No. 6
The following is a simulated X-ray powder pattern of Cs2PrInS4. It was derived from DFT lattice parameters and positions (GGA-PBE), using Cu Kα.

Top 10 peaks for 2θ from 10° to 90°, in order of rising 2θ:
d 3.618, intensity 58
d 3.566, intensity 55
d 3.135, intensity 52
d 3.098, intensity 100
d 2.204, intensity 72
d 1.882, intensity 34
d 1.859, intensity 21
d 1.809, intensity 18
d 1.783, intensity 18
d 1.398, intensity 21

Structure:
```
Cs2PrInS4
1.0
-4.335 4.430 6.270
4.335 -4.430 6.270
4.335 4.430 -6.270
Cs Pr In S
4 2 2 8
Cartesian
0.000 0.000 0.000
-2.168 2.215 3.135
0.000 4.430 0.000
2.168 2.215 3.135
4.335 0.000 0.000
0.000 0.000 6.270
2.168 2.215 -3.135
2.168 -2.215 3.135
4.335 -0.457 2.937
4.335 3.973 -2.937
2.486 2.215 -0.298
6.184 2.215 -0.298
-1.849 2.215 6.568
1.849 2.215 6.568
0.000 0.457 9.207
0.000 4.887 3.333
```